Starting from a structure optimized by DFT (GGA-PBE), the X-ray powder pattern of Tb3Mg2Ga3 was computed for copper Kα.
Neutral-atom scattering factors, no anomalous dispersion.

Top 10 peaks for 10° ≤ 2θ ≤ 90°, in order of rising 2θ:
hkl, 2θ/deg, d/Å, I/Imax
1 1 0, 20.58, 4.316, 69.9
1 1 1, 25.48, 3.496, 45.3
0 0 2, 29.98, 2.980, 57.3
2 1 1, 35.15, 2.553, 100.0
3 0 0, 36.05, 2.492, 79.5
1 1 2, 36.64, 2.452, 64.0
3 0 2, 47.57, 1.912, 48.2
3 2 1, 55.78, 1.648, 28.4
2 1 3, 56.64, 1.625, 25.2
5 1 1, 72.12, 1.310, 28.7

Structure:
Lattice parameters (Å, degrees): 8.6313 8.6313 5.9604 90.00 90.00 120.00
Space group P6_3/mcm (No. 193)
Unique sites:
Tb1 0.0000 0.2804 0.2500 x6
Mg1 0.3333 0.6667 0.0000 x4
Ga1 0.0000 0.3752 0.7500 x6

---

Starting from a structure optimized by DFT (GGA-PBE), the X-ray powder pattern of Zn2CrFe was computed for copper Kα.
Neutral-atom scattering factors, no anomalous dispersion.

Top 10 peaks for 10° ≤ 2θ ≤ 90°, in order of rising 2θ:
hkl, 2θ/deg, d/Å, I/Imax
0 0 3, 31.91, 2.804, 3.8
0 0 4, 43.00, 2.103, 23.5
1 1 2, 43.30, 2.090, 100.0
0 2 0, 44.47, 2.037, 23.7
2 0 0, 62.21, 1.492, 8.0
0 2 4, 63.58, 1.463, 13.4
2 0 4, 78.60, 1.217, 6.9
1 1 6, 79.02, 1.212, 11.9
2 2 0, 79.64, 1.204, 7.4
1 3 2, 81.08, 1.186, 13.8

Structure:
Lattice parameters (Å, degrees): 2.9847 4.0746 8.4129 90.00 90.00 90.00
Space group Cmm2 (No. 35)
Unique sites:
Zn1 0.0000 0.0000 0.0000 x2
Zn2 0.0000 0.5000 0.2758 x2
Cr1 0.0000 0.5000 0.7466 x2
Fe1 0.0000 0.0000 0.5225 x2

---

Starting from a structure optimized by DFT (GGA-PBE), the X-ray powder pattern of Co5C7 was computed for copper Kα.
Neutral-atom scattering factors, no anomalous dispersion.

Top 10 peaks for 10° ≤ 2θ ≤ 90°, in order of rising 2θ:
hkl, 2θ/deg, d/Å, I/Imax
1 1 0, 19.64, 4.521, 19.3
2 0 0, 27.91, 3.197, 24.8
2 1 1, 36.96, 2.432, 68.9
0 0 2, 38.92, 2.314, 43.4
2 2 0, 39.88, 2.260, 58.1
3 0 1, 46.94, 1.936, 100.0
2 0 2, 48.57, 1.874, 36.4
3 2 1, 55.50, 1.656, 21.4
2 2 2, 56.95, 1.617, 37.6
5 2 1, 84.20, 1.150, 26.2

Structure:
Lattice parameters (Å, degrees): 6.3932 6.3932 4.6279 90.00 90.00 90.00
Space group I4mm (No. 107)
Unique sites:
Co1 0.0000 0.0000 0.0000 x2
Co2 0.1979 0.1979 0.5800 x8
C1 0.0000 0.0000 0.3954 x2
C2 0.0000 0.3284 0.8551 x8
C3 0.0000 0.5000 0.0733 x4

---

Starting from a structure optimized by DFT (GGA-PBE), the X-ray powder pattern of Li2LaCo was computed for copper Kα.
Neutral-atom scattering factors, no anomalous dispersion.

Top 10 peaks for 10° ≤ 2θ ≤ 90°, in order of rising 2θ:
hkl, 2θ/deg, d/Å, I/Imax
0 1 1, 20.14, 4.409, 100.0
0 0 2, 22.55, 3.944, 12.5
1 0 1, 26.13, 3.411, 33.0
0 2 0, 33.72, 2.658, 23.4
1 1 2, 37.02, 2.428, 65.2
1 0 3, 41.85, 2.159, 20.1
1 2 1, 43.15, 2.097, 17.1
2 1 1, 52.66, 1.738, 15.0
1 2 3, 54.78, 1.676, 17.9
1 3 2, 62.48, 1.486, 13.6

Structure:
Lattice parameters (Å, degrees): 3.7825 5.3166 7.8871 90.00 90.00 90.00
Space group Imm2 (No. 44)
Unique sites:
Li1 0.0000 0.0000 0.0000 x2
Li2 0.0000 0.5000 0.2319 x2
La1 0.0000 0.0000 0.4214 x2
Co1 0.0000 0.5000 0.7209 x2

---

Starting from a structure optimized by DFT (GGA-PBE), the X-ray powder pattern of PSBrO6 was computed for copper Kα.
Neutral-atom scattering factors, no anomalous dispersion.

Top 10 peaks for 10° ≤ 2θ ≤ 90°, in order of rising 2θ:
hkl, 2θ/deg, d/Å, I/Imax
0 0 1, 13.84, 6.398, 15.0
1 0 1, 26.71, 3.337, 100.0
0 0 2, 27.89, 3.199, 13.0
1 1 0, 39.92, 2.258, 10.6
0 0 3, 42.43, 2.130, 13.7
1 0 3, 48.65, 1.872, 21.8
1 1 2, 49.40, 1.845, 32.4
2 0 3, 64.69, 1.441, 23.0
2 -1 4, 72.44, 1.305, 17.7
2 1 3, 78.73, 1.215, 10.8

Structure:
Lattice parameters (Å, degrees): 4.5169 4.5169 6.3981 90.00 90.00 120.00
Space group P312 (No. 149)
Unique sites:
P1 0.0000 0.0000 0.0000 x1
S1 0.3333 0.6667 0.0000 x1
Br1 0.6667 0.3333 0.5000 x1
O1 0.0507 0.3388 0.8512 x6

---

Starting from a structure optimized by DFT (GGA-PBE), the X-ray powder pattern of Cs2In2PbF6 was computed for copper Kα.
Neutral-atom scattering factors, no anomalous dispersion.

Top 10 peaks for 10° ≤ 2θ ≤ 90°, in order of rising 2θ:
hkl, 2θ/deg, d/Å, I/Imax
1 1 1, 21.82, 4.073, 19.3
2 0 1, 25.25, 3.527, 48.7
1 1 -2, 25.61, 3.478, 100.0
0 2 0, 25.96, 3.432, 55.4
3 1 -1, 28.12, 3.174, 92.2
2 2 1, 36.53, 2.460, 46.8
1 3 -2, 45.58, 1.990, 20.4
3 3 -1, 47.14, 1.928, 22.9
5 1 0, 47.85, 1.901, 24.4
4 2 -3, 48.47, 1.878, 18.9

Structure:
Lattice parameters (Å, degrees): 10.7543 6.8639 8.0698 90.00 113.10 90.00
Space group C2/m (No. 12)
Unique sites:
Cs1 0.2083 0.0000 0.1253 x4
In1 0.1012 0.5000 0.2341 x4
Pb1 0.0000 0.0000 0.5000 x2
F1 0.0398 0.2554 0.7413 x8
F2 0.2305 0.0000 0.4881 x4

---

Starting from a structure optimized by DFT (GGA-PBE), the X-ray powder pattern of Sc3BBr3 was computed for copper Kα.
Neutral-atom scattering factors, no anomalous dispersion.

Top 10 peaks for 10° ≤ 2θ ≤ 90°, in order of rising 2θ:
hkl, 2θ/deg, d/Å, I/Imax
2 1 1, 20.40, 4.353, 14.8
2 2 2, 29.01, 3.078, 24.4
3 2 1, 31.39, 2.850, 41.5
4 0 0, 33.62, 2.666, 100.0
3 3 2, 39.64, 2.273, 19.7
4 4 0, 48.28, 1.885, 62.6
6 2 2, 57.31, 1.608, 15.6
4 4 4, 60.12, 1.539, 19.4
7 2 1, 64.18, 1.451, 12.9
8 4 0, 80.58, 1.192, 21.1

Structure:
Lattice parameters (Å, degrees): 10.6636 10.6636 10.6636 90.00 90.00 90.00
Space group I4_132 (No. 214)
Unique sites:
Sc1 0.1008 0.3508 0.1250 x24
B1 0.1250 0.1250 0.1250 x8
Br1 0.1200 0.1300 0.6250 x24

---

Starting from a structure optimized by DFT (GGA-PBE), the X-ray powder pattern of PrBePt was computed for copper Kα.
Neutral-atom scattering factors, no anomalous dispersion.

Top 10 peaks for 10° ≤ 2θ ≤ 90°, in order of rising 2θ:
hkl, 2θ/deg, d/Å, I/Imax
1 0 1, 27.55, 3.238, 70.7
1 0 2, 33.12, 2.705, 100.0
1 0 3, 40.91, 2.206, 25.2
0 0 4, 42.43, 2.130, 16.8
1 1 0, 44.85, 2.021, 43.1
2 0 1, 53.44, 1.715, 11.7
2 0 2, 56.87, 1.619, 21.5
1 1 4, 63.44, 1.466, 30.9
1 0 6, 71.71, 1.316, 10.8
2 1 2, 75.19, 1.264, 18.9

Structure:
Lattice parameters (Å, degrees): 4.0422 4.0422 8.5217 90.00 90.00 120.00
Space group P6_3/mmc (No. 194)
Unique sites:
Pr1 0.0000 0.0000 0.0000 x2
Be1 0.3333 0.6667 0.2500 x2
Pt1 0.3333 0.6667 0.7500 x2

---

Starting from a structure optimized by DFT (GGA-PBE), the X-ray powder pattern of Ti2Se was computed for copper Kα.
Neutral-atom scattering factors, no anomalous dispersion.

Top 10 peaks for 10° ≤ 2θ ≤ 90°, in order of rising 2θ:
hkl, 2θ/deg, d/Å, I/Imax
3 1 1, 35.22, 2.548, 21.7
1 4 1, 36.72, 2.447, 22.8
3 5 0, 38.54, 2.336, 22.6
2 4 1, 39.13, 2.302, 91.0
3 3 1, 39.46, 2.284, 100.0
0 5 1, 40.57, 2.224, 50.1
4 2 1, 42.27, 2.138, 22.1
1 7 0, 44.26, 2.047, 21.3
5 1 1, 47.20, 1.925, 29.2
0 0 2, 53.13, 1.724, 43.2

Structure:
Lattice parameters (Å, degrees): 11.7563 14.5481 3.4476 90.00 90.00 90.00
Space group Pnnm (No. 58)
Unique sites:
Ti1 0.0290 0.1084 0.0000 x4
Ti2 0.0856 0.5763 0.0000 x4
Ti3 0.0913 0.7396 0.5000 x4
Ti4 0.1139 0.4260 0.5000 x4
Ti5 0.1448 0.9795 0.5000 x4
Ti6 0.1872 0.2051 0.5000 x4
Se1 0.0675 0.2941 0.0000 x4
Se2 0.1877 0.8499 0.0000 x4
Se3 0.2449 0.5861 0.5000 x4

---

Starting from a structure optimized by DFT (GGA-PBE), the X-ray powder pattern of PrSm3Dy7 was computed for copper Kα.
Neutral-atom scattering factors, no anomalous dispersion.

Top 10 peaks for 10° ≤ 2θ ≤ 90°, in order of rising 2θ:
hkl, 2θ/deg, d/Å, I/Imax
1 1 2, 31.34, 2.854, 37.9
1 1 -3, 31.51, 2.839, 42.2
2 1 0, 31.65, 2.827, 81.6
2 1 -2, 31.78, 2.815, 100.0
2 0 -3, 32.05, 2.793, 24.6
0 2 0, 32.17, 2.782, 82.2
0 1 3, 32.78, 2.732, 82.9
2 3 0, 57.00, 1.616, 24.4
0 3 3, 57.75, 1.596, 19.3
4 2 -2, 62.85, 1.479, 21.6

Structure:
Lattice parameters (Å, degrees): 6.9824 5.5646 10.0094 90.00 109.94 90.00
Space group P2/m (No. 10)
Unique sites:
Pr1 0.0000 0.0000 0.0000 x1
Sm1 0.2813 0.5000 0.4984 x2
Sm2 0.5000 0.0000 0.0000 x1
Dy1 0.0000 0.0000 0.5000 x1
Dy2 0.1459 0.5000 0.7886 x2
Dy3 0.3220 0.5000 0.1404 x2
Dy4 0.4197 0.0000 0.3304 x2

---

Starting from a structure optimized by DFT (GGA-PBE), the X-ray powder pattern of ZrTc5 was computed for copper Kα.
Neutral-atom scattering factors, no anomalous dispersion.

Top 10 peaks for 10° ≤ 2θ ≤ 90°, in order of rising 2θ:
hkl, 2θ/deg, d/Å, I/Imax
1 0 3, 39.20, 2.298, 100.0
1 0 4, 44.21, 2.049, 5.6
0 0 6, 45.50, 1.994, 12.7
1 1 0, 45.62, 1.988, 34.9
2 0 0, 66.45, 1.407, 26.8
1 1 7, 73.01, 1.296, 3.4
1 0 9, 79.82, 1.202, 6.1
2 1 3, 80.00, 1.199, 23.7
2 0 6, 84.28, 1.149, 8.1
1 0 10, 88.92, 1.101, 3.6

Structure:
Lattice parameters (Å, degrees): 2.8120 2.8120 11.9611 90.00 90.00 90.00
Space group P4/mmm (No. 123)
Unique sites:
Zr1 0.0000 0.0000 0.0000 x1
Tc1 0.0000 0.0000 0.3415 x2
Tc2 0.5000 0.5000 0.1913 x2
Tc3 0.5000 0.5000 0.5000 x1

---

Starting from a structure optimized by DFT (GGA-PBE), the X-ray powder pattern of GaSn2BrCl was computed for copper Kα.
Neutral-atom scattering factors, no anomalous dispersion.

Top 10 peaks for 10° ≤ 2θ ≤ 90°, in order of rising 2θ:
hkl, 2θ/deg, d/Å, I/Imax
0 0 1, 13.64, 6.490, 10.8
0 0 2, 27.46, 3.248, 100.0
2 0 0, 33.78, 2.654, 31.0
2 0 2, 44.08, 2.054, 29.4
2 2 0, 48.55, 1.875, 27.0
2 2 2, 56.66, 1.624, 37.6
2 0 4, 67.69, 1.384, 8.2
4 0 0, 71.08, 1.326, 14.1
4 0 2, 77.78, 1.228, 15.4
4 2 2, 87.53, 1.115, 8.7

Structure:
Lattice parameters (Å, degrees): 5.3072 5.3072 6.4900 90.00 90.00 90.00
Space group P4/mmm (No. 123)
Unique sites:
Ga1 0.0000 0.0000 0.0000 x1
Sn1 0.0000 0.5000 0.5000 x2
Br1 0.5000 0.5000 0.0000 x1
Cl1 0.5000 0.5000 0.5000 x1

---

Starting from a structure optimized by DFT (GGA-PBE), the X-ray powder pattern of CsGeTePHC was computed for copper Kα.
Neutral-atom scattering factors, no anomalous dispersion.

Top 10 peaks for 10° ≤ 2θ ≤ 90°, in order of rising 2θ:
hkl, 2θ/deg, d/Å, I/Imax
0 0 1, 13.31, 6.653, 72.5
1 -1 0, 23.59, 3.771, 100.0
1 1 1, 24.04, 3.702, 96.8
1 1 0, 24.47, 3.637, 42.4
0 0 2, 26.80, 3.326, 65.6
0 2 1, 30.12, 2.967, 39.5
0 2 0, 31.69, 2.824, 33.2
-1 1 2, 33.80, 2.652, 31.8
2 0 1, 37.40, 2.405, 31.4
1 1 3, 40.68, 2.218, 40.2

Structure:
Lattice parameters (Å, degrees): 4.9455 5.9686 7.0870 71.22 82.81 89.66
Space group P1 (No. 1)
Unique sites:
Cs1 0.0000 0.0000 0.0000 x1
Ge1 0.6335 0.6451 0.5791 x1
Te1 0.5044 0.5141 0.9596 x1
P1 0.2644 0.4534 0.4351 x1
H1 0.5958 0.9105 0.4612 x1
C1 0.9951 0.5760 0.5025 x1